[1]
For V3S, a GGA-PBE-relaxed structure gives the simulated XRD peak list in this record (Cu Kα, 1.54184 Å).
Kinematic intensities with the Lorentz-polarization factor, no thermal factor.

Principal peaks in the range 10 to 80 degrees two-theta, sorted by position:
- 39.7°, intensity 81.5
- 40.5°, intensity 46.2
- 41.9°, intensity 51.2
- 42.8°, intensity 26.6
- 44.2°, intensity 100.0
- 48.4°, intensity 33.2
- 49.1°, intensity 14.1
- 56.1°, intensity 13.9
- 71.9°, intensity 12.6
- 75.1°, intensity 13.2

Cell and atoms:
Cell: 7.0603 7.0603 7.0603 Å, 95.96 95.96 142.40°
Atoms (fractional coordinates):
V  0.0000  0.3576  0.3576
V  0.0000  0.6424  0.6424
V  0.0625  0.0625  0.6008
V  0.1464  0.3293  0.0000
V  0.3293  0.1464  0.0000
V  0.3576  0.0000  0.3576
V  0.4616  0.4616  0.3992
V  0.5384  0.9375  0.0000
V  0.6424  0.0000  0.6424
V  0.6707  0.6707  0.8171
V  0.8536  0.8536  0.1829
V  0.9375  0.5384  0.0000
S  0.2113  0.5000  0.7113
S  0.5000  0.2113  0.7113
S  0.5000  0.7887  0.2887
S  0.7887  0.5000  0.2887



[2]
For SrBeO3, a GGA-PBE-relaxed structure gives the simulated XRD peak list in this record (Cu Kα, 1.54184 Å).
Kinematic intensities with the Lorentz-polarization factor, no thermal factor.

Principal peaks in the range 10 to 80 degrees two-theta, sorted by position:
- 23.8°, intensity 80.0
- 34.0°, intensity 97.2
- 41.9°, intensity 100.0
- 48.8°, intensity 54.6
- 55.0°, intensity 37.3
- 60.8°, intensity 38.3
- 71.5°, intensity 31.0
- 76.5°, intensity 18.8

Cell and atoms:
Cell: 3.7339 3.7339 3.7339 Å, 90.00 90.00 90.00°
Atoms (fractional coordinates):
Sr  0.0000  0.0000  0.0000
Be  0.5000  0.5000  0.5000
O  0.0000  0.5000  0.5000
O  0.5000  0.0000  0.5000
O  0.5000  0.5000  0.0000